LiCu3F10: theoretical XRD peak list (CuKα), based on a cell relaxed with GGA-PBE.
Peak positions follow from Bragg's law for the DFT cell and can differ from measured ones.

Crystal structure
Cell lengths 3.7945, 7.1978, 14.3994 Å; angles 90.00, 90.16, 90.00 degrees
Fractional coordinates of all 28 atoms:
1 Li 0.0000 0.0983 0.0000
2 Li 0.0000 0.9017 0.5000
3 Cu 0.0217 0.0985 0.1955
4 Cu 0.0217 0.9015 0.6955
5 Cu 0.0228 0.3957 0.5978
6 Cu 0.0228 0.6043 0.0978
7 Cu 0.0251 0.4979 0.8502
8 Cu 0.0251 0.5021 0.3502
9 F 0.0196 0.0883 0.5961
10 F 0.0197 0.2767 0.1008
11 F 0.0197 0.7233 0.6008
12 F 0.0196 0.9117 0.0961
13 F 0.0226 0.0675 0.7865
14 F 0.0230 0.3733 0.4698
15 F 0.0230 0.6267 0.9698
16 F 0.0226 0.9325 0.2865
17 F 0.0237 0.2676 0.2980
18 F 0.0241 0.3998 0.7251
19 F 0.0241 0.6002 0.2251
20 F 0.0237 0.7324 0.7980
21 F 0.0296 0.2680 0.9079
22 F 0.0296 0.7320 0.4079
23 F 0.5216 0.1000 0.1901
24 F 0.5216 0.9000 0.6901
25 F 0.5227 0.4086 0.5958
26 F 0.5227 0.5914 0.0958
27 F 0.5252 0.4981 0.8514
28 F 0.5252 0.5019 0.3514

Top 8 peaks for 15° ≤ 2θ ≤ 90°, by angle:
h k l	2theta	I_rel
0 1 2	17.42	40
0 1 3	22.26	18
1 0 0	23.44	100
0 0 4	24.73	29
0 2 1	25.51	46
0 1 4	27.71	52
2 0 0	47.95	25
0 4 2	52.41	19